Zn2MoN3: simulated X-ray diffraction stick pattern (Cu Kα (weighted mean of Kα1 and Kα2)), based on the GGA-PBE geometry in the Materials Project.
Intensities are scaled so that the largest is 100.

Peak list (10 most intense, 2θ = 15–90°, sorted by position)
31.19°, I = 100; 34.12°, I = 77; 34.46°, I = 44; 35.02°, I = 78; 36.27°, I = 66; 36.95°, I = 43; 55.42°, I = 23; 55.57°, I = 47; 60.84°, I = 22; 64.45°, I = 22

Atomic structure:
```
12
Lattice="2.8714 -4.9739 0.0000 2.8714 4.9739 0.0000 -0.4238 0.0000 5.2549" Properties=species:S:1:pos:R:3 pbc="T T T"
Zn 2.8714 3.3577 0.0000
Zn 3.7140 1.6680 2.5466
Zn 2.8714 -3.3577 0.0000
Zn 3.7140 -1.6680 2.5466
Mo 0.7653 0.0000 2.8317
Mo 2.4414 0.0000 5.1559
N 2.7688 3.3519 3.1868
N 1.0609 0.0000 0.8165
N 3.7215 1.5744 0.4866
N 2.7403 0.0000 3.2043
N 3.7215 -1.5744 0.4866
N 2.7688 -3.3519 3.1868
```